This entry pairs a crystal structure of Na3MoO3F3 with its theoretical PXRD pattern. Radiation: CuKα. Structure: the PBE+U geometry in the Materials Project.

Largest 6 diffraction maxima, by angle, 10° ≤ 2θ ≤ 90°:
- 18.96°, d = 4.681 Å, intensity 100.0
- 21.62°, d = 4.111 Å, intensity 84.3
- 30.08°, d = 2.971 Å, intensity 80.2
- 31.42°, d = 2.847 Å, intensity 51.9
- 36.38°, d = 2.470 Å, intensity 47.6
- 44.05°, d = 2.056 Å, intensity 47.2

Structural model:
```
data_Na3MoO3F3
_chemical_formula_sum 'Na3 Mo1 O3 F3'
_cell_length_a 5.953
_cell_length_b 5.953
_cell_length_c 5.953
_cell_angle_alpha 57.14
_cell_angle_beta 57.14
_cell_angle_gamma 57.14
_space_group_name_H-M_alt 'P 1'
_space_group_IT_number 1
loop_
_space_group_symop_operation_xyz
'x,y,z'
loop_
_atom_site_label
_atom_site_type_symbol
_atom_site_fract_x
_atom_site_fract_y
_atom_site_fract_z
Na1 Na 0.000 0.000 0.000
Na2 Na 0.219 0.219 0.219
Na3 Na 0.717 0.717 0.717
Mo1 Mo 0.492 0.492 0.492
O1 O 0.181 0.398 0.743
O2 O 0.398 0.743 0.181
O3 O 0.743 0.181 0.398
F1 F 0.316 0.849 0.618
F2 F 0.618 0.316 0.849
F3 F 0.849 0.618 0.316
```

This entry pairs a crystal structure of Rb2AgMoF6 with its theoretical PXRD pattern. Radiation: CuKα. Structure: the PBE+U geometry in the Materials Project.

Largest 6 diffraction maxima, by angle, 10° ≤ 2θ ≤ 90°:
- 27.93°, d = 3.195 Å, intensity 100.0
- 39.91°, d = 2.259 Å, intensity 38.6
- 49.41°, d = 1.845 Å, intensity 39.6
- 57.71°, d = 1.597 Å, intensity 23.5
- 65.31°, d = 1.429 Å, intensity 18.4
- 79.35°, d = 1.208 Å, intensity 21.1

Structural model:
```
data_Rb2AgMoF6
_chemical_formula_sum 'Rb2 Ag1 Mo1 F6'
_cell_length_a 6.390
_cell_length_b 6.390
_cell_length_c 6.390
_cell_angle_alpha 60.00
_cell_angle_beta 60.00
_cell_angle_gamma 60.00
_space_group_name_H-M_alt 'P 1'
_space_group_IT_number 1
loop_
_space_group_symop_operation_xyz
'x,y,z'
loop_
_atom_site_label
_atom_site_type_symbol
_atom_site_fract_x
_atom_site_fract_y
_atom_site_fract_z
Rb1 Rb 0.250 0.250 0.250
Rb2 Rb 0.750 0.750 0.750
Ag1 Ag 0.000 0.000 0.000
Mo1 Mo 0.500 0.500 0.500
F1 F 0.270 0.270 0.730
F2 F 0.270 0.730 0.270
F3 F 0.270 0.730 0.730
F4 F 0.730 0.270 0.270
F5 F 0.730 0.270 0.730
F6 F 0.730 0.730 0.270
```

This entry pairs a crystal structure of MgV12Zn6O24 with its theoretical PXRD pattern. Radiation: CuKα. Structure: the PBE+U geometry in the Materials Project.

Largest 6 diffraction maxima, by angle, 10° ≤ 2θ ≤ 90°:
- 29.56°, d = 3.022 Å, intensity 53.3
- 34.34°, d = 2.611 Å, intensity 70.9
- 34.56°, d = 2.595 Å, intensity 65.7
- 34.71°, d = 2.585 Å, intensity 100.0
- 34.98°, d = 2.565 Å, intensity 33.2
- 61.35°, d = 1.511 Å, intensity 59.5

Structural model:
```
data_MgV12Zn6O24
_chemical_formula_sum 'Mg1 V12 Zn6 O24'
_cell_length_a 6.015
_cell_length_b 6.172
_cell_length_c 14.826
_cell_angle_alpha 90.40
_cell_angle_beta 90.21
_cell_angle_gamma 118.81
_space_group_name_H-M_alt 'P 1'
_space_group_IT_number 1
loop_
_space_group_symop_operation_xyz
'x,y,z'
loop_
_atom_site_label
_atom_site_type_symbol
_atom_site_fract_x
_atom_site_fract_y
_atom_site_fract_z
Mg1 Mg 0.000 0.000 0.000
V1 V 0.000 0.499 0.499
V2 V 0.001 0.996 0.499
V3 V 0.166 0.328 0.334
V4 V 0.173 0.856 0.826
V5 V 0.180 0.348 0.706
V6 V 0.320 0.144 0.172
V7 V 0.326 0.649 0.162
V8 V 0.495 0.991 0.004
V9 V 0.505 0.499 0.499
V10 V 0.675 0.341 0.834
V11 V 0.686 0.856 0.827
V12 V 0.826 0.144 0.172
Zn1 Zn 0.208 0.411 0.940
Zn2 Zn 0.497 0.988 0.377
Zn3 Zn 0.507 0.010 0.619
Zn4 Zn 0.794 0.577 0.048
Zn5 Zn 0.827 0.652 0.291
Zn6 Zn 0.840 0.674 0.663
O1 O 0.000 0.516 0.755
O2 O 0.009 0.472 0.241
O3 O 0.010 0.004 0.746
O4 O 0.011 0.016 0.251
O5 O 0.150 0.822 0.572
O6 O 0.153 0.302 0.087
O7 O 0.162 0.828 0.086
O8 O 0.170 0.333 0.575
O9 O 0.315 0.627 0.417
O10 O 0.322 0.178 0.421
O11 O 0.333 0.164 0.919
O12 O 0.363 0.733 0.904
O13 O 0.464 0.473 0.243
O14 O 0.487 0.973 0.240
O15 O 0.506 0.030 0.757
O16 O 0.526 0.511 0.757
O17 O 0.634 0.269 0.100
O18 O 0.670 0.828 0.086
O19 O 0.677 0.822 0.572
O20 O 0.684 0.360 0.574
O21 O 0.830 0.171 0.920
O22 O 0.834 0.664 0.424
O23 O 0.850 0.682 0.914
O24 O 0.863 0.177 0.419
```

This entry pairs a crystal structure of LiFe4B4O12 with its theoretical PXRD pattern. Radiation: CuKα. Structure: the PBE+U geometry in the Materials Project.

Largest 6 diffraction maxima, by angle, 10° ≤ 2θ ≤ 90°:
- 19.76°, d = 4.493 Å, intensity 100.0
- 21.31°, d = 4.169 Å, intensity 52.0
- 21.38°, d = 4.156 Å, intensity 55.5
- 21.56°, d = 4.121 Å, intensity 39.8
- 26.29°, d = 3.389 Å, intensity 58.3
- 35.22°, d = 2.548 Å, intensity 94.5

Structural model:
```
data_LiFe4B4O12
_chemical_formula_sum 'Li2 Fe8 B8 O24'
_cell_length_a 5.206
_cell_length_b 9.192
_cell_length_c 11.409
_cell_angle_alpha 112.77
_cell_angle_beta 102.79
_cell_angle_gamma 91.06
_space_group_name_H-M_alt 'P 1'
_space_group_IT_number 1
loop_
_space_group_symop_operation_xyz
'x,y,z'
loop_
_atom_site_label
_atom_site_type_symbol
_atom_site_fract_x
_atom_site_fract_y
_atom_site_fract_z
Li1 Li 0.000 0.000 0.000
Li2 Li 0.310 0.973 0.258
Fe1 Fe 0.021 0.353 0.018
Fe2 Fe 0.062 0.069 0.768
Fe3 Fe 0.267 0.926 0.517
Fe4 Fe 0.310 0.639 0.270
Fe5 Fe 0.524 0.838 0.018
Fe6 Fe 0.559 0.562 0.768
Fe7 Fe 0.772 0.430 0.517
Fe8 Fe 0.813 0.156 0.269
B1 B 0.008 0.689 0.026
B2 B 0.059 0.392 0.767
B3 B 0.272 0.602 0.520
B4 B 0.324 0.303 0.262
B5 B 0.524 0.177 0.012
B6 B 0.556 0.893 0.771
B7 B 0.772 0.101 0.515
B8 B 0.806 0.815 0.274
O1 O 0.014 0.582 0.518
O2 O 0.091 0.831 0.313
O3 O 0.132 0.581 0.074
O4 O 0.146 0.828 0.046
O5 O 0.186 0.166 0.244
O6 O 0.199 0.411 0.213
O7 O 0.240 0.160 0.972
O8 O 0.317 0.413 0.771
O9 O 0.358 0.706 0.468
O10 O 0.374 0.972 0.713
O11 O 0.458 0.778 0.805
O12 O 0.461 0.523 0.571
O13 O 0.505 0.060 0.491
O14 O 0.594 0.342 0.322
O15 O 0.646 0.066 0.053
O16 O 0.663 0.693 0.279
O17 O 0.668 0.300 0.009
O18 O 0.685 0.924 0.232
O19 O 0.739 0.650 0.963
O20 O 0.824 0.936 0.798
O21 O 0.870 0.470 0.714
O22 O 0.871 0.215 0.480
O23 O 0.954 0.022 0.573
O24 O 0.973 0.289 0.820
```

This entry pairs a crystal structure of K2BaNa2Ti4Si8W4O28 with its theoretical PXRD pattern. Radiation: CuKα. Structure: the PBE+U geometry in the Materials Project.

Largest 6 diffraction maxima, by angle, 10° ≤ 2θ ≤ 90°:
- 12.36°, d = 7.163 Å, intensity 40.7
- 14.09°, d = 6.286 Å, intensity 53.5
- 27.90°, d = 3.197 Å, intensity 100.0
- 28.12°, d = 3.174 Å, intensity 74.4
- 28.47°, d = 3.135 Å, intensity 45.5
- 35.66°, d = 2.518 Å, intensity 42.9

Structural model:
```
data_K2BaNa2Ti4Si8W4O28
_chemical_formula_sum 'K2 Ba1 Na2 Ti4 Si8 W4 O28'
_cell_length_a 10.123
_cell_length_b 10.123
_cell_length_c 8.058
_cell_angle_alpha 109.71
_cell_angle_beta 109.71
_cell_angle_gamma 90.07
_space_group_name_H-M_alt 'P 1'
_space_group_IT_number 1
loop_
_space_group_symop_operation_xyz
'x,y,z'
loop_
_atom_site_label
_atom_site_type_symbol
_atom_site_fract_x
_atom_site_fract_y
_atom_site_fract_z
K1 K 0.000 0.000 0.000
K2 K 0.190 0.190 0.653
Ba1 Ba 0.541 0.541 0.043
Na1 Na 0.236 0.737 0.367
Na2 Na 0.737 0.236 0.367
Ti1 Ti 0.121 0.608 0.851
Ti2 Ti 0.377 0.840 0.849
Ti3 Ti 0.608 0.121 0.851
Ti4 Ti 0.840 0.377 0.849
Si1 Si 0.030 0.809 0.581
Si2 Si 0.184 0.391 0.084
Si3 Si 0.298 0.511 0.530
Si4 Si 0.391 0.184 0.084
Si5 Si 0.511 0.298 0.530
Si6 Si 0.709 0.927 0.131
Si7 Si 0.809 0.030 0.581
Si8 Si 0.927 0.709 0.131
W1 W 0.419 0.930 0.293
W2 W 0.570 0.787 0.595
W3 W 0.787 0.570 0.595
W4 W 0.930 0.419 0.293
O1 O 0.018 0.376 0.062
O2 O 0.066 0.715 0.076
O3 O 0.147 0.505 0.562
O4 O 0.199 0.860 0.669
O5 O 0.226 0.463 0.954
O6 O 0.228 0.228 0.037
O7 O 0.273 0.483 0.308
O8 O 0.300 0.738 0.969
O9 O 0.376 0.018 0.062
O10 O 0.388 0.388 0.597
O11 O 0.399 0.664 0.637
O12 O 0.463 0.226 0.954
O13 O 0.480 0.947 0.758
O14 O 0.483 0.273 0.308
O15 O 0.505 0.147 0.562
O16 O 0.571 0.809 0.018
O17 O 0.664 0.399 0.637
O18 O 0.715 0.066 0.076
O19 O 0.717 0.990 0.355
O20 O 0.721 0.980 0.690
O21 O 0.738 0.300 0.969
O22 O 0.809 0.571 0.018
O23 O 0.858 0.858 0.134
O24 O 0.860 0.199 0.669
O25 O 0.947 0.480 0.758
O26 O 0.956 0.956 0.604
O27 O 0.980 0.721 0.690
O28 O 0.990 0.717 0.355
```

This entry pairs a crystal structure of Fe2O3 with its theoretical PXRD pattern. Radiation: CuKα. Structure: the PBE+U geometry in the Materials Project.

Largest 6 diffraction maxima, by angle, 10° ≤ 2θ ≤ 90°:
- 19.02°, d = 4.666 Å, intensity 49.1
- 22.52°, d = 3.948 Å, intensity 44.3
- 24.04°, d = 3.703 Å, intensity 44.3
- 33.82°, d = 2.650 Å, intensity 70.5
- 35.46°, d = 2.531 Å, intensity 100.0
- 59.43°, d = 1.555 Å, intensity 47.4

Structural model:
```
data_Fe2O3
_chemical_formula_sum 'Fe12 O18'
_cell_length_a 5.388
_cell_length_b 5.388
_cell_length_c 14.810
_cell_angle_alpha 90.00
_cell_angle_beta 90.00
_cell_angle_gamma 120.00
_space_group_name_H-M_alt 'P 1'
_space_group_IT_number 1
loop_
_space_group_symop_operation_xyz
'x,y,z'
loop_
_atom_site_label
_atom_site_type_symbol
_atom_site_fract_x
_atom_site_fract_y
_atom_site_fract_z
Fe1 Fe 0.000 0.000 0.000
Fe2 Fe 0.000 0.000 0.166
Fe3 Fe 0.000 0.000 0.501
Fe4 Fe 0.000 0.000 0.670
Fe5 Fe 0.000 0.387 0.817
Fe6 Fe 0.025 0.648 0.320
Fe7 Fe 0.333 0.667 0.026
Fe8 Fe 0.352 0.378 0.320
Fe9 Fe 0.387 0.000 0.817
Fe10 Fe 0.613 0.613 0.817
Fe11 Fe 0.622 0.975 0.320
Fe12 Fe 0.667 0.333 0.027
O1 O 0.000 0.702 0.438
O2 O 0.000 0.715 0.767
O3 O 0.006 0.692 0.087
O4 O 0.261 0.002 0.594
O5 O 0.285 0.285 0.767
O6 O 0.298 0.298 0.438
O7 O 0.308 0.314 0.087
O8 O 0.310 0.017 0.263
O9 O 0.363 0.004 0.946
O10 O 0.641 0.637 0.946
O11 O 0.686 0.994 0.087
O12 O 0.702 0.000 0.438
O13 O 0.707 0.690 0.263
O14 O 0.715 0.000 0.767
O15 O 0.741 0.739 0.594
O16 O 0.983 0.293 0.263
O17 O 0.996 0.359 0.946
O18 O 0.998 0.259 0.594
```

- What is the formula in the third record?
  MgV12Zn6O24